No. 1
PaI2Br6: computed X-ray powder pattern (λ = 1.5418 Å (Cu Kα)), based on a GGA-PBE-relaxed structure.
Intensities are scaled so that the largest is 1000.

Structure:
abc: 7.721 8.077 8.177
angles: 84.10 62.05 77.20
Positions (direct):
Pa (0.000, 0.000, 0.000)
I (0.087, 0.587, 0.564)
I (0.913, 0.413, 0.436)
Br (0.203, 0.256, 0.852)
Br (0.206, 0.905, 0.197)
Br (0.293, 0.789, 0.714)
Br (0.707, 0.211, 0.286)
Br (0.794, 0.095, 0.803)
Br (0.797, 0.744, 0.148)

Largest 6 diffraction maxima, most intense first, 2θ = 10–80°:
| 2theta | I (rel.) |
| --- | --- |
| 13.25 | 1000 |
| 16.65 | 809 |
| 25.86 | 406 |
| 19.05 | 214 |
| 34.47 | 211 |
| 28.48 | 201 |

No. 2
TbErGaRh: computed X-ray powder pattern (λ = 1.5418 Å (Cu Kα)), based on a GGA-PBE-relaxed structure.
Intensities are scaled so that the largest is 1000.

Structure:
abc: 4.266 5.670 5.670
angles: 40.72 90.00 90.00
Positions (direct):
Tb (0.000, 0.000, 0.000)
Er (0.500, 0.716, 0.716)
Ga (0.500, 0.426, 0.426)
Rh (0.000, 0.277, 0.277)

Largest 6 diffraction maxima, most intense first, 2θ = 10–80°:
| 2theta | I (rel.) |
| --- | --- |
| 32.03 | 1000 |
| 40.21 | 495 |
| 34.00 | 380 |
| 42.38 | 261 |
| 33.72 | 240 |
| 39.97 | 224 |

No. 3
NdY2Pd2: computed X-ray powder pattern (λ = 1.5418 Å (Cu Kα)), based on a GGA-PBE-relaxed structure.
Intensities are scaled so that the largest is 1000.

Structure:
abc: 7.948 7.948 3.931
angles: 90.00 90.00 90.00
Positions (direct):
Nd (0.000, 0.000, 0.000)
Nd (0.500, 0.500, 0.000)
Y (0.163, 0.337, 0.500)
Y (0.337, 0.837, 0.500)
Y (0.663, 0.163, 0.500)
Y (0.837, 0.663, 0.500)
Pd (0.130, 0.630, 0.000)
Pd (0.370, 0.130, 0.000)
Pd (0.630, 0.870, 0.000)
Pd (0.870, 0.370, 0.000)

Largest 6 diffraction maxima, most intense first, 2θ = 10–80°:
| 2theta | I (rel.) |
| --- | --- |
| 34.00 | 1000 |
| 35.73 | 623 |
| 32.02 | 310 |
| 59.72 | 275 |
| 46.18 | 177 |
| 42.70 | 165 |

No. 4
Nd4Si3Pd: computed X-ray powder pattern (λ = 1.5418 Å (Cu Kα)), based on a GGA-PBE-relaxed structure.
Intensities are scaled so that the largest is 1000.

Structure:
abc: 4.039 4.362 11.161
angles: 90.00 90.00 90.00
Positions (direct):
Nd (0.000, 0.000, 0.000)
Nd (0.000, 0.500, 0.495)
Nd (0.500, 0.000, 0.279)
Nd (0.500, 0.500, 0.777)
Si (0.000, 0.000, 0.704)
Si (0.000, 0.500, 0.212)
Si (0.500, 0.000, 0.567)
Pd (0.500, 0.500, 0.066)

Largest 6 diffraction maxima, most intense first, 2θ = 10–80°:
| 2theta | I (rel.) |
| --- | --- |
| 31.22 | 1000 |
| 31.61 | 526 |
| 27.26 | 430 |
| 38.85 | 418 |
| 32.08 | 276 |
| 41.40 | 240 |

No. 5
TaCrTcW: computed X-ray powder pattern (λ = 1.5418 Å (Cu Kα)), based on a GGA-PBE-relaxed structure.
Intensities are scaled so that the largest is 1000.

Structure:
abc: 4.406 4.406 4.406
angles: 60.00 60.00 60.00
Positions (direct):
Ta (0.000, 0.000, 0.000)
Cr (0.750, 0.750, 0.750)
Tc (0.250, 0.250, 0.250)
W (0.500, 0.500, 0.500)

Largest 6 diffraction maxima, most intense first, 2θ = 10–80°:
| 2theta | I (rel.) |
| --- | --- |
| 40.97 | 1000 |
| 74.63 | 337 |
| 28.66 | 202 |
| 59.33 | 167 |
| 67.20 | 82 |
| 50.76 | 61 |

No. 6
Nd2SmDy12: computed X-ray powder pattern (λ = 1.5418 Å (Cu Kα)), based on a GGA-PBE-relaxed structure.
Intensities are scaled so that the largest is 1000.

Structure:
abc: 6.644 6.644 24.513
angles: 92.21 92.21 115.40
Positions (direct):
Nd (0.068, 0.068, 0.273)
Nd (0.432, 0.432, 0.727)
Nd (0.568, 0.568, 0.273)
Nd (0.932, 0.932, 0.727)
Sm (0.250, 0.250, 0.000)
Sm (0.750, 0.750, 0.000)
Dy (0.050, 0.550, 0.201)
Dy (0.083, 0.582, 0.331)
Dy (0.138, 0.638, 0.555)
Dy (0.142, 0.142, 0.572)
Dy (0.216, 0.216, 0.864)
Dy (0.232, 0.732, 0.926)
Dy (0.268, 0.768, 0.074)
Dy (0.284, 0.284, 0.136)
Dy (0.357, 0.357, 0.429)
Dy (0.362, 0.862, 0.445)
Dy (0.418, 0.917, 0.669)
Dy (0.450, 0.950, 0.799)
Dy (0.550, 0.050, 0.201)
Dy (0.582, 0.083, 0.331)
Dy (0.638, 0.138, 0.555)
Dy (0.643, 0.643, 0.571)
Dy (0.716, 0.716, 0.864)
Dy (0.732, 0.232, 0.926)
Dy (0.768, 0.268, 0.074)
Dy (0.784, 0.784, 0.136)
Dy (0.858, 0.858, 0.428)
Dy (0.862, 0.362, 0.445)
Dy (0.917, 0.418, 0.669)
Dy (0.950, 0.450, 0.799)

Largest 6 diffraction maxima, most intense first, 2θ = 10–80°:
| 2theta | I (rel.) |
| --- | --- |
| 31.87 | 1000 |
| 30.13 | 934 |
| 32.47 | 923 |
| 31.18 | 652 |
| 30.28 | 515 |
| 33.38 | 504 |